(1)
Th4FeNi: calculated PXRD pattern (Cu Kα X-rays), based on DFT lattice parameters and positions (PBE).

The 12 most intense peaks (2θ from 5° to 70°), sorted by position:
two_theta  I/Imax
28.08  46
29.99  100
30.36  31
33.00  61
33.07  17
35.53  46
36.12  37
36.15  36
48.45  20
53.03  31
58.04  31
63.88  19

Atomic structure:
abc: 6.187 6.908 7.515
angles: 90.00 107.84 90.00
Atoms (fractional coordinates):
Th  0.004  0.000  0.243
Th  0.004  0.500  0.243
Th  0.439  0.250  0.104
Th  0.439  0.250  0.617
Th  0.561  0.750  0.383
Th  0.561  0.750  0.896
Th  0.996  0.000  0.757
Th  0.996  0.500  0.757
Fe  0.209  0.750  0.052
Fe  0.791  0.250  0.948
Ni  0.196  0.750  0.550
Ni  0.804  0.250  0.450

***

(2)
TiFeNi5: calculated PXRD pattern (Cu Kα X-rays), based on DFT lattice parameters and positions (PBE).

The 12 most intense peaks (2θ from 5° to 70°), sorted by position:
two_theta  I/Imax
24.58  9
26.91  4
28.08  4
35.04  5
36.76  6
37.65  7
40.85  4
44.72  100
50.39  36
55.47  11
63.98  2
66.80  4

Atomic structure:
abc: 3.622 3.622 6.626
angles: 90.00 90.00 90.00
Atoms (fractional coordinates):
Ti  0.000  0.000  0.000
Fe  0.500  0.500  0.500
Ni  0.000  0.500  0.271
Ni  0.000  0.500  0.729
Ni  0.500  0.000  0.271
Ni  0.500  0.000  0.729
Ni  0.500  0.500  0.000

***

(3)
TiFe2Ni5: calculated PXRD pattern (Cu Kα X-rays), based on DFT lattice parameters and positions (PBE).

The 12 most intense peaks (2θ from 5° to 70°), sorted by position:
two_theta  I/Imax
14.63  9
37.59  8
42.27  10
43.83  72
44.53  100
46.08  41
46.29  41
50.36  16
54.16  5
54.37  13
61.07  10
67.37  20

Atomic structure:
abc: 6.294 6.294 6.294
angles: 156.97 102.89 81.75
Atoms (fractional coordinates):
Ti  0.000  0.000  0.000
Fe  0.246  0.746  0.500
Fe  0.754  0.254  0.500
Ni  0.140  0.370  0.770
Ni  0.400  0.630  0.770
Ni  0.500  0.000  0.500
Ni  0.600  0.370  0.230
Ni  0.860  0.630  0.230

***

(4)
Ti6FeNi3: calculated PXRD pattern (Cu Kα X-rays), based on DFT lattice parameters and positions (PBE).

The 12 most intense peaks (2θ from 5° to 70°), sorted by position:
two_theta  I/Imax
36.28  13
37.59  38
39.93  23
40.57  100
40.80  19
42.23  22
43.37  45
44.16  29
44.64  47
44.96  42
45.84  35
67.85  17

Atomic structure:
abc: 4.980 4.980 6.819
angles: 106.54 106.54 64.74
Atoms (fractional coordinates):
Ti  0.099  0.605  0.703
Ti  0.345  0.345  0.071
Ti  0.395  0.901  0.297
Ti  0.605  0.099  0.703
Ti  0.655  0.655  0.929
Ti  0.901  0.395  0.297
Fe  0.000  0.000  0.000
Ni  0.102  0.102  0.680
Ni  0.500  0.500  0.500
Ni  0.898  0.898  0.320

***

(5)
Ti6Fe5Ni: calculated PXRD pattern (Cu Kα X-rays), based on DFT lattice parameters and positions (PBE).

The 7 most intense peaks (2θ from 5° to 70°), sorted by position:
two_theta  I/Imax
30.11  2
30.30  1
43.10  50
43.24  100
53.59  1
62.60  15
63.02  7

Atomic structure:
abc: 6.630 6.630 5.901
angles: 90.00 90.00 143.05
Atoms (fractional coordinates):
Ti  0.000  0.000  0.247
Ti  0.000  0.000  0.753
Ti  0.332  0.668  0.250
Ti  0.332  0.668  0.750
Ti  0.668  0.332  0.250
Ti  0.668  0.332  0.750
Fe  0.166  0.834  0.500
Fe  0.167  0.833  0.000
Fe  0.500  0.500  0.000
Fe  0.833  0.167  0.000
Fe  0.834  0.166  0.500
Ni  0.500  0.500  0.500

***

(6)
UFeNi: calculated PXRD pattern (Cu Kα X-rays), based on DFT lattice parameters and positions (PBE).

The 12 most intense peaks (2θ from 5° to 70°), sorted by position:
two_theta  I/Imax
23.98  84
24.18  59
27.10  53
32.44  42
34.60  93
35.68  52
36.14  100
37.44  62
40.39  48
40.77  45
41.25  43
45.93  51

Atomic structure:
abc: 4.075 4.790 5.251
angles: 95.47 111.58 100.79
Atoms (fractional coordinates):
U  0.232  0.194  0.296
U  0.768  0.806  0.704
Fe  0.027  0.567  0.278
Fe  0.973  0.433  0.722
Ni  0.499  0.785  0.119
Ni  0.501  0.215  0.881